[1]
The following is a theoretical powder X-ray diffraction pattern of KCu4Pb3Br12. It was derived from DFT lattice parameters and positions (PBE), using Cu Ka.
Lines closer than 0.1° are merged.

Largest 6 diffraction maxima, by intensity, 2θ = 10–90°:
2θ/deg	I (rel.)
20.67	1000
29.13	848
19.52	591
11.68	354
40.24	321
39.02	291

Structure:
Cell lengths 9.536, 9.536, 9.536 Å; angles 105.24, 105.24, 105.24 degrees
Positions (direct):
K (0.000, 0.000, 0.000)
Cu (0.063, 0.500, 0.937)
Cu (0.500, 0.500, 0.500)
Cu (0.500, 0.937, 0.063)
Cu (0.937, 0.063, 0.500)
Pb (0.000, 0.551, 0.449)
Pb (0.449, 0.000, 0.551)
Pb (0.551, 0.449, 0.000)
Br (0.012, 0.648, 0.783)
Br (0.097, 0.903, 0.500)
Br (0.217, 0.352, 0.988)
Br (0.345, 0.655, 0.500)
Br (0.352, 0.988, 0.217)
Br (0.500, 0.097, 0.903)
Br (0.500, 0.345, 0.655)
Br (0.648, 0.783, 0.012)
Br (0.655, 0.500, 0.345)
Br (0.783, 0.012, 0.648)
Br (0.903, 0.500, 0.097)
Br (0.988, 0.217, 0.352)

---

[2]
The following is a theoretical powder X-ray diffraction pattern of NbTe2Se2. It was derived from DFT lattice parameters and positions (PBE), using Cu Ka.
Lines closer than 0.1° are merged.

Largest 6 diffraction maxima, by intensity, 2θ = 10–90°:
2θ/deg	I (rel.)
11.55	1000
26.93	708
35.87	639
29.84	572
35.48	428
23.21	304

Structure:
Cell lengths 7.279, 7.279, 8.028 Å; angles 97.14, 97.14, 130.63 degrees
Positions (direct):
Nb (0.117, 0.883, 0.000)
Nb (0.883, 0.117, 0.000)
Te (0.018, 0.553, 0.229)
Te (0.447, 0.982, 0.771)
Te (0.553, 0.018, 0.229)
Te (0.982, 0.447, 0.771)
Se (0.108, 0.108, 0.286)
Se (0.366, 0.366, 0.119)
Se (0.634, 0.634, 0.881)
Se (0.892, 0.892, 0.714)

---

[3]
The following is a theoretical powder X-ray diffraction pattern of RbPa2Pt2S6. It was derived from DFT lattice parameters and positions (PBE), using Cu Ka.
Lines closer than 0.1° are merged.

Largest 6 diffraction maxima, by intensity, 2θ = 10–90°:
2θ/deg	I (rel.)
29.48	1000
15.43	913
13.54	417
36.46	396
39.77	367
25.23	358

Structure:
Cell lengths 7.024, 7.050, 7.555 Å; angles 92.94, 114.04, 119.75 degrees
Positions (direct):
Rb (0.000, 0.000, 0.000)
Pa (0.335, 0.336, 0.674)
Pa (0.665, 0.664, 0.326)
Pt (0.163, 0.728, 0.676)
Pt (0.837, 0.272, 0.324)
S (0.158, 0.918, 0.437)
S (0.237, 0.463, 0.341)
S (0.429, 0.684, 0.948)
S (0.571, 0.316, 0.052)
S (0.763, 0.537, 0.659)
S (0.842, 0.082, 0.563)